The following is a simulated powder diffractogram of Ca2ZnAgPb. It was derived from DFT lattice parameters and positions (GGA-PBE), using Cu Kα (λ = 1.5418 Å).
Neutral-atom scattering factors, no anomalous dispersion.

Atomic structure:
```
Ca2ZnAgPb
1.0
5.7741 0.0000 0.0000
0.0000 5.7741 0.0000
0.0000 0.0000 5.2494
Ca Zn Ag Pb
2 1 1 1
Direct
0.0000 0.5000 0.0000
0.5000 0.0000 0.0000
0.0000 0.0000 0.5000
0.5000 0.5000 0.0000
0.5000 0.5000 0.5000
```

Largest 10 diffraction maxima, in order of falling intensity, 10° ≤ 2θ ≤ 80°:
| 2theta | Rel. int. | hkl |
| --- | --- | --- |
| 15.35 | 100 | 1 0 0 |
| 30.97 | 72 | 2 0 0 |
| 21.77 | 69 | 1 1 0 |
| 27.68 | 52 | 1 1 1 |
| 46.78 | 45 | 2 0 2 |
| 34.74 | 28 | 2 1 0 |
| 40.87 | 28 | 1 1 2 |
| 34.16 | 28 | 0 0 2 |
| 44.37 | 26 | 2 2 0 |
| 57.16 | 24 | 2 2 2 |